The following is a calculated XRD peak list of HgBiPb14. It was derived from the PBE geometry in Alexandria, using λ = 1.5418 Å (Cu Kα).
Peak positions follow from Bragg's law for the DFT cell and can differ from measured ones.

Main lines, by intensity (10° ≤ 2θ ≤ 90°):
2θ/deg	I (rel.)
30.98	100
35.11	18
36.26	17
36.40	16
60.43	16
61.96	14
62.15	14
64.57	13

Structure:
Lattice parameters (Å, degrees): 9.874 10.224 9.910 90.00 90.00 90.00
Space group Cmmm (No. 65)
Symmetry-distinct sites (fractional):
Hg 0.000 0.000 0.000 [2 per cell]
Bi 0.000 0.500 0.000 [2 per cell]
Pb 0.000 0.000 0.500 [2 per cell]
Pb 0.000 0.250 0.250 [8 per cell]
Pb 0.000 0.500 0.500 [2 per cell]
Pb 0.249 0.000 0.248 [8 per cell]
Pb 0.250 0.250 0.000 [4 per cell]
Pb 0.250 0.250 0.500 [4 per cell]

***

The following is a calculated XRD peak list of TbHo3Er7. It was derived from the PBE geometry in Alexandria, using λ = 1.5418 Å (Cu Kα).
Peak positions follow from Bragg's law for the DFT cell and can differ from measured ones.

Main lines, by intensity (10° ≤ 2θ ≤ 90°):
2θ/deg	I (rel.)
32.20	100
32.37	82
33.48	68
32.82	66
31.98	28
58.26	25
64.05	23
32.65	21

Structure:
Lattice parameters (Å, degrees): 6.870 5.457 9.807 90.00 110.01 90.00
Space group P2/m (No. 10)
Symmetry-distinct sites (fractional):
Tb 0.000 0.000 0.000 [1 per cell]
Ho 0.278 0.500 0.498 [2 per cell]
Ho 0.500 0.000 0.000 [1 per cell]
Er 0.000 0.000 0.500 [1 per cell]
Er 0.147 0.500 0.790 [2 per cell]
Er 0.321 0.500 0.141 [2 per cell]
Er 0.420 0.000 0.331 [2 per cell]

***

The following is a calculated XRD peak list of La7CeCo3. It was derived from the PBE geometry in Alexandria, using λ = 1.5418 Å (Cu Kα).
Peak positions follow from Bragg's law for the DFT cell and can differ from measured ones.

Main lines, by intensity (10° ≤ 2θ ≤ 90°):
2θ/deg	I (rel.)
29.73	100
46.41	33
29.86	28
27.57	22
38.39	20
56.09	19
38.56	16
50.20	14

Structure:
Lattice parameters (Å, degrees): 12.940 7.834 9.338 90.00 133.52 90.00
Space group Cm (No. 8)
Symmetry-distinct sites (fractional):
La 0.000 0.000 0.000 [2 per cell]
La 0.004 0.500 0.991 [2 per cell]
La 0.101 0.000 0.659 [2 per cell]
La 0.266 0.252 0.494 [4 per cell]
La 0.346 0.243 0.169 [4 per cell]
Ce 0.113 0.500 0.655 [2 per cell]
Co 0.056 0.500 0.335 [2 per cell]
Co 0.295 0.255 0.823 [4 per cell]

***

The following is a calculated XRD peak list of Ac2InHg2. It was derived from the PBE geometry in Alexandria, using λ = 1.5418 Å (Cu Kα).
Peak positions follow from Bragg's law for the DFT cell and can differ from measured ones.

Main lines, by intensity (10° ≤ 2θ ≤ 90°):
2θ/deg	I (rel.)
28.80	100
35.00	59
36.40	40
29.53	31
31.66	30
28.34	29
47.54	18
33.52	17

Structure:
Lattice parameters (Å, degrees): 12.111 4.937 12.067 90.00 117.60 90.00
Space group C2/m (No. 12)
Symmetry-distinct sites (fractional):
Ac 0.011 0.000 0.337 [4 per cell]
Ac 0.186 0.000 0.105 [4 per cell]
In 0.218 0.500 0.339 [4 per cell]
Hg 0.034 0.500 0.888 [4 per cell]
Hg 0.143 0.500 0.559 [4 per cell]